This entry pairs a crystal structure of Na2Zn3Si2O8 with its calculated X-ray powder pattern. Radiation: copper Kα. Structure: DFT lattice parameters and positions (GGA-PBE).

Top 12 peaks for 5 to 70 degrees two-theta, by angle:
(0 1 -2), 19.9°, 4.469 Å, intensity 56; (0 0 3), 20.9°, 4.246 Å, intensity 32; (-1 1 1), 21.1°, 4.214 Å, intensity 33; (1 1 -1), 23.8°, 3.737 Å, intensity 30; (1 -1 2), 24.4°, 3.644 Å, intensity 36; (0 2 3), 24.6°, 3.613 Å, intensity 37; (0 2 -3), 34.2°, 2.624 Å, intensity 53; (1 3 2), 34.5°, 2.603 Å, intensity 64; (-1 1 4), 34.6°, 2.593 Å, intensity 99; (1 1 5), 35.0°, 2.566 Å, intensity 100; (2 -2 4), 50.1°, 1.822 Å, intensity 24; (0 2 9), 62.4°, 1.488 Å, intensity 27

Structure:
abc: 5.1897 8.9381 13.6130
angles: 72.07 79.65 88.95
Space group P1 (No. 1)
Unique sites:
Na  0.0000  0.0000  0.0000 x1
Na  0.0258  0.3694  0.9246 x1
Na  0.0726  0.7416  0.8462 x1
Na  0.1897  0.8388  0.5945 x1
Na  0.3093  0.9848  0.3300 x1
Na  0.8686  0.8912  0.2464 x1
Zn  0.2063  0.4771  0.6514 x1
Zn  0.2838  0.2314  0.5002 x1
Zn  0.4601  0.7787  0.1527 x1
Zn  0.5252  0.2127  0.8366 x1
Zn  0.5333  0.5209  0.0084 x1
Zn  0.5961  0.9618  0.6899 x1
Zn  0.7876  0.6792  0.5121 x1
Zn  0.8613  0.2510  0.1934 x1
Zn  0.8696  0.4256  0.3622 x1
Si  0.0734  0.1205  0.7411 x1
Si  0.3492  0.5960  0.4084 x1
Si  0.4318  0.1504  0.0874 x1
Si  0.6244  0.5868  0.7541 x1
Si  0.7792  0.0653  0.4401 x1
Si  0.9879  0.6117  0.1058 x1
O  0.0257  0.5739  0.4219 x1
O  0.1039  0.7651  0.1281 x1
O  0.1337  0.2739  0.6334 x1
O  0.1653  0.5679  0.0059 x1
O  0.1676  0.1197  0.1794 x1
O  0.3275  0.1884  0.9759 x1
O  0.3545  0.0618  0.7810 x1
O  0.4091  0.6345  0.5159 x1
O  0.4242  0.4371  0.7621 x1
O  0.4539  0.7451  0.7226 x1
O  0.4725  0.7411  0.3061 x1
O  0.4812  0.4271  0.4070 x1
O  0.5240  0.0513  0.5378 x1
O  0.6121  0.9951  0.1117 x1
O  0.6312  0.2999  0.0826 x1
O  0.6721  0.1078  0.3298 x1
O  0.6975  0.6614  0.0721 x1
O  0.7365  0.5585  0.8625 x1
O  0.8822  0.6027  0.6569 x1
O  0.8938  0.1720  0.8363 x1
O  0.9321  0.8986  0.4620 x1
O  0.9523  0.9716  0.7146 x1
O  0.9556  0.4550  0.2114 x1
O  0.9881  0.2083  0.4326 x1

This entry pairs a crystal structure of Na2ZnSi3O8 with its calculated X-ray powder pattern. Radiation: copper Kα. Structure: DFT lattice parameters and positions (GGA-PBE).

Top 12 peaks for 5 to 70 degrees two-theta, by angle:
(1 0 0), 14.1°, 6.299 Å, intensity 44; (1 1 -1), 19.9°, 4.471 Å, intensity 37; (1 0 1), 21.7°, 4.095 Å, intensity 94; (0 2 1), 24.4°, 3.643 Å, intensity 26; (1 2 -1), 26.6°, 3.348 Å, intensity 100; (0 1 2), 29.0°, 3.080 Å, intensity 34; (1 1 -2), 29.4°, 3.043 Å, intensity 33; (1 2 1), 29.9°, 2.990 Å, intensity 55; (2 1 0), 30.2°, 2.962 Å, intensity 45; (2 2 0), 35.1°, 2.555 Å, intensity 39; (2 1 -2), 36.0°, 2.493 Å, intensity 28; (1 0 -3), 40.2°, 2.242 Å, intensity 33

Structure:
abc: 6.4805 8.7497 6.7692
angles: 90.00 103.58 90.00
Space group P2_1 (No. 4)
Unique sites:
Na  0.0918  0.0000  0.4709 x2
Na  0.3311  0.5571  0.2206 x2
Zn  0.4631  0.3686  0.6110 x2
Si  0.0943  0.8631  0.9886 x2
Si  0.2502  0.1807  0.9000 x2
Si  0.3556  0.6988  0.7323 x2
O  0.0795  0.0377  0.8909 x2
O  0.1383  0.7440  0.8139 x2
O  0.1531  0.3311  0.9952 x2
O  0.2506  0.8467  0.2081 x2
O  0.2825  0.2041  0.6737 x2
O  0.2919  0.5573  0.5745 x2
O  0.4409  0.8520  0.6446 x2
O  0.4756  0.1355  0.0574 x2

This entry pairs a crystal structure of Na2ZnSi2O6 with its calculated X-ray powder pattern. Radiation: copper Kα. Structure: DFT lattice parameters and positions (GGA-PBE).

Top 12 peaks for 5 to 70 degrees two-theta, by angle:
(1 1 1), 17.5°, 5.070 Å, intensity 29; (1 3 1), 21.0°, 4.227 Å, intensity 91; (1 5 1), 26.8°, 3.332 Å, intensity 14; (0 6 2), 34.4°, 2.608 Å, intensity 100; (2 6 0), 35.2°, 2.551 Å, intensity 20; (3 1 1), 39.6°, 2.278 Å, intensity 12; (1 5 3), 43.4°, 2.083 Å, intensity 8; (1 11 1), 49.5°, 1.842 Å, intensity 13; (0 12 0), 50.6°, 1.804 Å, intensity 14; (3 3 3), 54.3°, 1.690 Å, intensity 10; (2 6 4), 61.1°, 1.517 Å, intensity 24; (2 12 2), 62.6°, 1.484 Å, intensity 24

Structure:
abc: 7.2138 21.6583 7.5481
angles: 90.00 90.00 90.00
Space group Fdd2 (No. 43)
Unique sites:
Na  0.0164  0.1724  0.0000 x16
Zn  0.0000  0.0000  0.0217 x8
Si  0.0364  0.1668  0.5464 x16
O  0.0312  0.2679  0.1264 x16
O  0.0475  0.4218  0.6521 x16
O  0.1006  0.1204  0.7146 x16

This entry pairs a crystal structure of Na2ZrSi4O11 with its calculated X-ray powder pattern. Radiation: copper Kα. Structure: DFT lattice parameters and positions (GGA-PBE).

Top 12 peaks for 5 to 70 degrees two-theta, by angle:
(2 0 0), 16.1°, 5.502 Å, intensity 36; (1 1 1), 16.7°, 5.320 Å, intensity 53; (0 2 0), 17.3°, 5.124 Å, intensity 64; (1 1 -2), 22.6°, 3.929 Å, intensity 37; (2 0 -2), 23.9°, 3.719 Å, intensity 55; (3 1 -1), 26.1°, 3.411 Å, intensity 62; (0 2 2), 27.2°, 3.283 Å, intensity 100; (3 1 1), 29.5°, 3.027 Å, intensity 43; (1 3 1), 29.8°, 2.995 Å, intensity 87; (4 0 0), 32.5°, 2.751 Å, intensity 48; (0 4 2), 41.1°, 2.197 Å, intensity 31; (4 2 2), 45.9°, 1.977 Å, intensity 42

Structure:
abc: 11.1912 10.2473 8.6935
angles: 90.00 100.48 90.00
Space group C2/c (No. 15)
Unique sites:
Na  0.0000  0.0756  0.2500 x4
Na  0.0000  0.3942  0.2500 x4
Zr  0.2500  0.2500  0.5000 x4
Si  0.0502  0.2172  0.9269 x8
Si  0.2357  0.4278  0.8607 x8
O  0.0000  0.1593  0.7500 x4
O  0.0551  0.2315  0.4691 x8
O  0.1150  0.3589  0.9138 x8
O  0.1438  0.1026  0.0037 x8
O  0.2110  0.4168  0.3547 x8
O  0.2384  0.1344  0.3011 x8